# Li2LaScIn2Au2
Theoretical PXRD pattern, a wavelength of 1.5418 Å. Input: DFT lattice parameters and positions (GGA-PBE).

Crystal structure
```
Li2LaScIn2Au2
1.0
4.873 0.000 0.000
0.000 4.873 0.000
0.000 0.000 6.896
Li La Sc In Au
2 1 1 2 2
Direct
0.000 0.500 0.227 Li
0.500 0.000 0.773 Li
0.000 0.000 0.500 La
0.500 0.500 0.000 Sc
0.000 0.000 0.000 In
0.500 0.500 0.500 In
0.000 0.500 0.775 Au
0.500 0.000 0.225 Au
```

The 10 most intense peaks (10 to 90 degrees two-theta), low angle first:
22.34°, rel. 53
28.97°, rel. 5
36.88°, rel. 100
43.55°, rel. 27
53.15°, rel. 17
58.36°, rel. 11
66.45°, rel. 33
71.07°, rel. 8
78.50°, rel. 10
82.86°, rel. 7

---

# H2Os3C8S2O8
Theoretical PXRD pattern, a wavelength of 1.5418 Å. Input: DFT lattice parameters and positions (GGA-PBE).

Crystal structure
```
H2Os3C8S2O8
1.0
5.909 -6.078 0.000
5.909 6.078 0.000
-4.836 0.000 9.951
H Os C S O
4 6 16 4 16
Direct
0.048 0.705 0.798 H
0.295 0.952 0.702 H
0.705 0.048 0.298 H
0.952 0.295 0.202 H
0.160 0.840 0.750 Os
0.205 0.537 0.804 Os
0.463 0.795 0.696 Os
0.537 0.205 0.304 Os
0.795 0.463 0.196 Os
0.840 0.160 0.250 Os
0.019 0.362 0.711 C
0.034 0.143 0.382 C
0.143 0.034 0.882 C
0.188 0.549 0.975 C
0.356 0.378 0.809 C
0.362 0.019 0.211 C
0.378 0.356 0.309 C
0.451 0.812 0.525 C
0.549 0.188 0.475 C
0.622 0.644 0.691 C
0.638 0.981 0.789 C
0.644 0.622 0.191 C
0.812 0.451 0.025 C
0.857 0.966 0.118 C
0.966 0.857 0.618 C
0.981 0.638 0.289 C
0.217 0.585 0.601 S
0.415 0.783 0.899 S
0.585 0.217 0.101 S
0.783 0.415 0.399 S
0.086 0.750 0.344 O
0.134 0.156 0.964 O
0.156 0.134 0.464 O
0.180 0.555 0.079 O
0.250 0.914 0.156 O
0.283 0.451 0.313 O
0.445 0.820 0.421 O
0.451 0.283 0.813 O
0.549 0.717 0.187 O
0.555 0.180 0.579 O
0.717 0.549 0.687 O
0.750 0.086 0.844 O
0.820 0.445 0.921 O
0.844 0.866 0.536 O
0.866 0.844 0.036 O
0.914 0.250 0.656 O
```

The 10 most intense peaks (10 to 90 degrees two-theta), low angle first:
11.69°, rel. 98
14.57°, rel. 30
16.34°, rel. 100
17.83°, rel. 49
21.03°, rel. 28
24.74°, rel. 23
28.76°, rel. 31
32.43°, rel. 36
33.60°, rel. 27
34.23°, rel. 19

---

# PuF
Theoretical PXRD pattern, a wavelength of 1.5418 Å. Input: DFT lattice parameters and positions (GGA-PBE).

Crystal structure
```
PuF
1.0
5.218 0.000 0.000
0.000 5.218 0.000
0.000 0.000 5.218
Pu F
4 4
Direct
0.000 0.000 0.000 Pu
0.000 0.500 0.500 Pu
0.500 0.000 0.500 Pu
0.500 0.500 0.000 Pu
0.000 0.000 0.500 F
0.000 0.500 0.000 F
0.500 0.000 0.000 F
0.500 0.500 0.500 F
```

The 8 most intense peaks (10 to 90 degrees two-theta), low angle first:
29.65°, rel. 100
34.37°, rel. 73
49.40°, rel. 53
58.68°, rel. 48
61.56°, rel. 18
72.45°, rel. 8
80.18°, rel. 21
82.70°, rel. 24